No. 1
Computed powder X-ray diffraction pattern
Compound: RbTl3Au
Radiation: CuKα
Structure: a DFT-relaxed cell (PBE, Alexandria)
No peak broadening, texture or thermal motion is included.

Crystal structure
Cell lengths 10.2950, 10.2950, 7.0094 Å; angles 99.97, 99.97, 62.23 degrees
Sites, in units of the cell vectors:
1 Rb 0.0359 0.9641 0.7500
2 Rb 0.3602 0.6398 0.2500
3 Rb 0.6398 0.3602 0.7500
4 Rb 0.9641 0.0359 0.2500
5 Tl 0.0098 0.3496 0.5995
6 Tl 0.0138 0.3411 0.0817
7 Tl 0.3164 0.3205 0.4118
8 Tl 0.3205 0.3164 0.9118
9 Tl 0.3411 0.0138 0.5817
10 Tl 0.3496 0.0098 0.0995
11 Tl 0.6504 0.9902 0.9005
12 Tl 0.6589 0.9862 0.4183
13 Tl 0.6795 0.6836 0.0882
14 Tl 0.6836 0.6795 0.5882
15 Tl 0.9862 0.6589 0.9183
16 Tl 0.9902 0.6504 0.4005
17 Au 0.2523 0.5867 0.7149
18 Au 0.4133 0.7477 0.7851
19 Au 0.5867 0.2523 0.2149
20 Au 0.7477 0.4133 0.2851

Most intense lines, 10 to 90 degrees two-theta, by angle:
| d_spacing | 2θ/deg | Rel. int. |
| --- | --- | --- |
| 8.632 | 10.25 | 43 |
| 3.019 | 29.59 | 98 |
| 2.993 | 29.85 | 100 |
| 2.493 | 36.03 | 100 |
| 2.475 | 36.30 | 49 |
| 2.464 | 36.47 | 20 |
| 1.526 | 60.71 | 24 |
| 1.438 | 64.81 | 24 |

---

No. 2
Computed powder X-ray diffraction pattern
Compound: Rb2Tl5Au4
Radiation: CuKα
Structure: a DFT-relaxed cell (PBE, Alexandria)
No peak broadening, texture or thermal motion is included.

Crystal structure
Cell lengths 10.2856, 8.9908, 6.9756 Å; angles 79.11, 59.13, 41.76 degrees
Sites, in units of the cell vectors:
1 Rb 0.1456 0.1456 0.8544
2 Rb 0.8544 0.8544 0.1456
3 Tl 0.0000 0.0000 0.5000
4 Tl 0.2500 0.2500 0.2500
5 Tl 0.5000 0.5000 0.0000
6 Tl 0.5000 0.5000 0.5000
7 Tl 0.7500 0.7500 0.7500
8 Au 0.2320 0.4805 0.5195
9 Au 0.4805 0.2320 0.7680
10 Au 0.5195 0.7680 0.2320
11 Au 0.7680 0.5195 0.4805

Most intense lines, 10 to 90 degrees two-theta, by angle:
| d_spacing | 2θ/deg | Rel. int. |
| --- | --- | --- |
| 5.633 | 15.73 | 100 |
| 3.427 | 26.00 | 47 |
| 2.994 | 29.84 | 80 |
| 2.951 | 30.29 | 83 |
| 2.650 | 33.82 | 89 |
| 2.450 | 36.69 | 81 |
| 2.429 | 37.02 | 46 |
| 2.276 | 39.60 | 41 |

---

No. 3
Computed powder X-ray diffraction pattern
Compound: Rb6TlAu3
Radiation: CuKα
Structure: a DFT-relaxed cell (PBE, Alexandria)
No peak broadening, texture or thermal motion is included.

Crystal structure
Cell lengths 9.2650, 8.6108, 15.0740 Å; angles 90.00, 122.83, 90.00 degrees
Sites, in units of the cell vectors:
1 Rb 0.0297 0.0086 0.2351
2 Rb 0.0297 0.4914 0.7351
3 Rb 0.2254 0.6555 0.0878
4 Rb 0.2254 0.8445 0.5878
5 Rb 0.4025 0.1330 0.0954
6 Rb 0.4025 0.3670 0.5954
7 Rb 0.5975 0.6330 0.4046
8 Rb 0.5975 0.8670 0.9046
9 Rb 0.7746 0.1555 0.4122
10 Rb 0.7746 0.3445 0.9122
11 Rb 0.9703 0.5086 0.2649
12 Rb 0.9703 0.9914 0.7649
13 Tl 0.5000 0.0000 0.5000
14 Tl 0.5000 0.5000 0.0000
15 Au 0.0000 0.0000 0.0000
16 Au 0.0000 0.5000 0.5000
17 Au 0.3700 0.2296 0.8523
18 Au 0.3700 0.2704 0.3523
19 Au 0.6300 0.7296 0.6477
20 Au 0.6300 0.7704 0.1477

Most intense lines, 10 to 90 degrees two-theta, by angle:
| d_spacing | 2θ/deg | Rel. int. |
| --- | --- | --- |
| 6.307 | 14.04 | 88 |
| 5.102 | 17.38 | 69 |
| 4.609 | 19.26 | 77 |
| 3.721 | 23.92 | 78 |
| 3.550 | 25.08 | 80 |
| 2.888 | 30.97 | 48 |
| 2.741 | 32.67 | 58 |
| 2.553 | 35.16 | 100 |

---

No. 4
Computed powder X-ray diffraction pattern
Compound: Rb6Tl3Au
Radiation: CuKα
Structure: a DFT-relaxed cell (PBE, Alexandria)
No peak broadening, texture or thermal motion is included.

Crystal structure
Cell lengths 7.7790, 7.7790, 7.7790 Å; angles 93.70, 93.70, 93.70 degrees
Sites, in units of the cell vectors:
1 Rb 0.0118 0.3490 0.6392
2 Rb 0.1611 0.8711 0.4994
3 Rb 0.3490 0.6392 0.0118
4 Rb 0.4994 0.1611 0.8711
5 Rb 0.6392 0.0118 0.3490
6 Rb 0.8711 0.4994 0.1611
7 Tl 0.0121 0.0121 0.0121
8 Tl 0.4935 0.4935 0.4935
9 Tl 0.7527 0.7527 0.7527
10 Au 0.2527 0.2527 0.2527

Most intense lines, 10 to 90 degrees two-theta, by angle:
| d_spacing | 2θ/deg | Rel. int. |
| --- | --- | --- |
| 5.675 | 15.61 | 63 |
| 3.372 | 26.43 | 27 |
| 3.277 | 27.22 | 100 |
| 2.994 | 29.84 | 27 |
| 2.648 | 33.85 | 26 |
| 2.400 | 37.47 | 33 |
| 1.892 | 48.10 | 19 |
| 1.832 | 49.76 | 20 |

---

No. 5
Computed powder X-ray diffraction pattern
Compound: RbTl3Au3
Radiation: CuKα
Structure: a DFT-relaxed cell (PBE, Alexandria)
No peak broadening, texture or thermal motion is included.

Crystal structure
Cell lengths 10.2065, 10.2065, 4.6951 Å; angles 90.00, 90.00, 120.00 degrees
Sites, in units of the cell vectors:
1 Rb 0.3333 0.6667 0.2500
2 Rb 0.6667 0.3333 0.7500
3 Tl 0.0572 0.2887 0.7500
4 Tl 0.2316 0.9428 0.7500
5 Tl 0.2887 0.2316 0.2500
6 Tl 0.7113 0.7684 0.7500
7 Tl 0.7684 0.0572 0.2500
8 Tl 0.9428 0.7113 0.2500
9 Au 0.0358 0.5963 0.7500
10 Au 0.4037 0.4395 0.7500
11 Au 0.4395 0.0358 0.2500
12 Au 0.5605 0.9642 0.7500
13 Au 0.5963 0.5605 0.2500
14 Au 0.9642 0.4037 0.2500

Most intense lines, 10 to 90 degrees two-theta, by angle:
| d_spacing | 2θ/deg | Rel. int. |
| --- | --- | --- |
| 5.103 | 17.38 | 44 |
| 3.218 | 27.72 | 35 |
| 2.722 | 32.90 | 100 |
| 2.452 | 36.66 | 23 |
| 2.348 | 38.34 | 28 |
| 2.173 | 41.56 | 47 |
| 1.417 | 65.94 | 20 |
| 1.406 | 66.52 | 18 |

---

No. 6
Computed powder X-ray diffraction pattern
Compound: RbTl12Au7
Radiation: CuKα
Structure: a DFT-relaxed cell (PBE, Alexandria)
No peak broadening, texture or thermal motion is included.

Crystal structure
Cell lengths 9.0872, 9.0872, 9.0872 Å; angles 110.57, 110.57, 110.57 degrees
Sites, in units of the cell vectors:
1 Rb 0.0000 0.0000 0.0000
2 Tl 0.0774 0.1959 0.7311
3 Tl 0.1238 0.5633 0.3783
4 Tl 0.1959 0.7311 0.0774
5 Tl 0.2689 0.9226 0.8041
6 Tl 0.3783 0.1238 0.5633
7 Tl 0.4367 0.6217 0.8762
8 Tl 0.5633 0.3783 0.1238
9 Tl 0.6217 0.8762 0.4367
10 Tl 0.7311 0.0774 0.1959
11 Tl 0.8041 0.2689 0.9226
12 Tl 0.8762 0.4367 0.6217
13 Tl 0.9226 0.8041 0.2689
14 Au 0.1492 0.2929 0.4759
15 Au 0.2929 0.4759 0.1492
16 Au 0.4759 0.1492 0.2929
17 Au 0.5000 0.5000 0.5000
18 Au 0.5241 0.8508 0.7071
19 Au 0.7071 0.5241 0.8508
20 Au 0.8508 0.7071 0.5241

Most intense lines, 10 to 90 degrees two-theta, by angle:
| d_spacing | 2θ/deg | Rel. int. |
| --- | --- | --- |
| 2.861 | 31.26 | 54 |
| 2.823 | 31.69 | 48 |
| 2.805 | 31.90 | 100 |
| 2.753 | 32.53 | 30 |
| 2.441 | 36.82 | 74 |
| 2.271 | 39.69 | 17 |
| 2.010 | 45.12 | 15 |
| 1.739 | 52.63 | 25 |

---

No. 7
Computed powder X-ray diffraction pattern
Compound: Rb2Tl9Au3
Radiation: CuKα
Structure: a DFT-relaxed cell (PBE, Alexandria)
No peak broadening, texture or thermal motion is included.

Crystal structure
Cell lengths 9.3720, 9.3720, 12.7005 Å; angles 113.24, 113.24, 57.44 degrees
Sites, in units of the cell vectors:
1 Rb 0.1039 0.2548 0.2452
2 Rb 0.2548 0.1039 0.7452
3 Rb 0.7452 0.8961 0.2548
4 Rb 0.8961 0.7452 0.7548
5 Tl 0.0038 0.8813 0.0847
6 Tl 0.1187 0.9962 0.4153
7 Tl 0.1919 0.3620 0.5688
8 Tl 0.2234 0.5792 0.2531
9 Tl 0.3065 0.5016 0.9588
10 Tl 0.3438 0.6562 0.7500
11 Tl 0.3620 0.1919 0.0688
12 Tl 0.4208 0.7766 0.2469
13 Tl 0.4984 0.6935 0.5412
14 Tl 0.5016 0.3065 0.4588
15 Tl 0.5792 0.2234 0.7531
16 Tl 0.6380 0.8081 0.9312
17 Tl 0.6562 0.3438 0.2500
18 Tl 0.6935 0.4984 0.0412
19 Tl 0.7766 0.4208 0.7469
20 Tl 0.8081 0.6380 0.4312
21 Tl 0.8813 0.0038 0.5847
22 Tl 0.9962 0.1187 0.9153
23 Au 0.0000 0.5000 0.0000
24 Au 0.1515 0.6560 0.4838
25 Au 0.3440 0.8485 0.0162
26 Au 0.5000 0.0000 0.5000
27 Au 0.6560 0.1515 0.9838
28 Au 0.8485 0.3440 0.5162

Most intense lines, 10 to 90 degrees two-theta, by angle:
| d_spacing | 2θ/deg | Rel. int. |
| --- | --- | --- |
| 5.671 | 15.63 | 32 |
| 2.967 | 30.12 | 47 |
| 2.917 | 30.65 | 60 |
| 2.895 | 30.89 | 53 |
| 2.739 | 32.69 | 49 |
| 2.633 | 34.05 | 100 |
| 2.446 | 36.75 | 33 |
| 2.398 | 37.50 | 48 |

---

No. 8
Computed powder X-ray diffraction pattern
Compound: Rb3Tl3Au2
Radiation: CuKα
Structure: a DFT-relaxed cell (PBE, Alexandria)
No peak broadening, texture or thermal motion is included.

Crystal structure
Cell lengths 7.0784, 7.0784, 18.1357 Å; angles 90.00, 90.00, 138.80 degrees
Sites, in units of the cell vectors:
1 Rb 0.0544 0.9456 0.6054
2 Rb 0.0544 0.9456 0.8946
3 Rb 0.3634 0.6366 0.7500
4 Rb 0.6366 0.3634 0.2500
5 Rb 0.9456 0.0544 0.1054
6 Rb 0.9456 0.0544 0.3946
7 Tl 0.3386 0.6614 0.5388
8 Tl 0.3386 0.6614 0.9612
9 Tl 0.3432 0.6568 0.2500
10 Tl 0.6568 0.3432 0.7500
11 Tl 0.6614 0.3386 0.0388
12 Tl 0.6614 0.3386 0.4612
13 Au 0.2380 0.7620 0.1096
14 Au 0.2380 0.7620 0.3904
15 Au 0.7620 0.2380 0.6096
16 Au 0.7620 0.2380 0.8904

Most intense lines, 10 to 90 degrees two-theta, by angle:
| d_spacing | 2θ/deg | Rel. int. |
| --- | --- | --- |
| 6.626 | 13.36 | 100 |
| 4.515 | 19.66 | 34 |
| 3.305 | 26.98 | 67 |
| 3.251 | 27.44 | 99 |
| 2.902 | 30.81 | 89 |
| 2.673 | 33.53 | 89 |
| 2.490 | 36.07 | 55 |
| 2.265 | 39.80 | 73 |